Record 1
Diffraction record for PrAs2RhO8. The PXRD pattern is simulated, not measured: it uses a DFT-relaxed cell (GGA-PBE, Alexandria) and a wavelength of 1.5418 Å.

Structure:
Unit cell a=5.4440 b=5.4440 c=6.9297 alpha=90.00 beta=90.00 gamma=120.00
Atoms (fractional coordinates):
Pr: 0.0000 0.0000 0.0000
As: 0.3333 0.6667 0.2356
As: 0.6667 0.3333 0.7644
Rh: 0.0000 0.0000 0.5000
O: 0.1560 0.3121 0.2955
O: 0.1560 0.8440 0.2955
O: 0.3121 0.1560 0.7045
O: 0.3333 0.6667 0.9908
O: 0.6667 0.3333 0.0092
O: 0.6879 0.8440 0.2955
O: 0.8440 0.1560 0.7045
O: 0.8440 0.6879 0.7045

The 10 most intense peaks (10° ≤ 2θ ≤ 80°), sorted by position:
- d 4.715, 18.8 deg, intensity 74
- d 3.898, 22.8 deg, intensity 73
- d 2.792, 32.1 deg, intensity 100
- d 2.722, 32.9 deg, intensity 93
- d 1.949, 46.6 deg, intensity 53
- d 1.585, 58.2 deg, intensity 42
- d 1.572, 58.8 deg, intensity 17
- d 1.462, 63.7 deg, intensity 28
- d 1.361, 69.0 deg, intensity 16
- d 1.223, 78.1 deg, intensity 17

Record 2
Diffraction record for Cs3MoBr7. The PXRD pattern is simulated, not measured: it uses a DFT-relaxed cell (GGA-PBE, Alexandria) and a wavelength of 1.5418 Å.

Structure:
Unit cell a=7.2745 b=7.2745 c=9.3397 alpha=101.73 beta=101.73 gamma=92.69
Atoms (fractional coordinates):
Cs: 0.0000 0.0000 0.0000
Cs: 0.3579 0.8197 0.5458
Cs: 0.8197 0.3579 0.5458
Mo: 0.4885 0.4885 0.0567
Br: 0.1474 0.4872 0.9157
Br: 0.3697 0.3697 0.2722
Br: 0.4839 0.8287 0.1905
Br: 0.4872 0.1474 0.9157
Br: 0.6047 0.6047 0.8444
Br: 0.8287 0.4839 0.1905
Br: 0.8861 0.8861 0.5982

The 10 most intense peaks (10° ≤ 2θ ≤ 80°), sorted by position:
- d 4.534, 19.6 deg, intensity 61
- d 3.889, 22.9 deg, intensity 53
- d 3.573, 24.9 deg, intensity 51
- d 3.546, 25.1 deg, intensity 56
- d 3.074, 29.0 deg, intensity 100
- d 2.992, 29.9 deg, intensity 40
- d 2.947, 30.3 deg, intensity 35
- d 2.789, 32.1 deg, intensity 45
- d 2.521, 35.6 deg, intensity 51
- d 2.210, 40.8 deg, intensity 42

Record 3
Diffraction record for CaDyTe. The PXRD pattern is simulated, not measured: it uses a DFT-relaxed cell (GGA-PBE, Alexandria) and a wavelength of 1.5418 Å.

Structure:
Unit cell a=8.3610 b=8.3610 c=8.3610 alpha=121.04 beta=89.30 gamma=119.78
Atoms (fractional coordinates):
Ca: 0.0164 0.2500 0.2664
Ca: 0.4272 0.1932 0.7340
Ca: 0.4592 0.6932 0.2660
Ca: 0.9836 0.7500 0.7336
Dy: 0.4677 0.2397 0.2641
Dy: 0.4677 0.7036 0.7279
Dy: 0.9756 0.2036 0.7359
Dy: 0.9756 0.7397 0.2721
Te: 0.2217 0.7219 0.9998
Te: 0.7221 0.2219 0.0002
Te: 0.7217 0.2217 0.5000
Te: 0.7217 0.7217 0.0000

The 10 most intense peaks (10° ≤ 2θ ≤ 80°), sorted by position:
- d 6.856, 12.9 deg, intensity 19
- d 5.948, 14.9 deg, intensity 36
- d 3.565, 25.0 deg, intensity 19
- d 2.974, 30.0 deg, intensity 53
- d 2.937, 30.4 deg, intensity 100
- d 2.720, 32.9 deg, intensity 18
- d 2.634, 34.0 deg, intensity 20
- d 2.097, 43.1 deg, intensity 19
- d 2.090, 43.3 deg, intensity 74
- d 1.714, 53.5 deg, intensity 19